Diffraction record for LiGa3Ag2. The powder diffractogram is computed, not measured: it uses the PBE geometry in Alexandria and Cu Kα (weighted mean of Kα1 and Kα2).
Lines closer than 0.1° are merged.

Crystal structure
```
data_LiGa3Ag2
_cell_length_a 7.9379
_cell_length_b 5.6839
_cell_length_c 9.9123
_cell_angle_alpha 90.00
_cell_angle_beta 113.22
_cell_angle_gamma 90.00
_symmetry_space_group_name_H-M 'C 1 2/c 1'
_symmetry_Int_Tables_number 15
loop_
_symmetry_equiv_pos_as_xyz
'x,y,z'
'-x,-y,-z'
'-x,y,-z+1/2'
'x,-y,z+1/2'
'x+1/2,y+1/2,z'
'-x+1/2,-y+1/2,-z'
'-x+1/2,y+1/2,-z+1/2'
'x+1/2,-y+1/2,z+1/2'
loop_
_atom_site_label
_atom_site_type_symbol
_atom_site_fract_x
_atom_site_fract_y
_atom_site_fract_z
Li1 Li 0.0000 0.1255 0.2500
Ga1 Ga 0.0000 0.3742 0.7500
Ga2 Ga 0.1692 0.3739 0.0891
Ag1 Ag 0.1655 0.1246 0.5810
```

Peak list (10 most intense, 2θ = 10–90°, in order of rising 2θ)
(hkl)	Position (°2θ)	Rel. int.
0 0 2	19.5	156
1 1 -2	24.2	376
2 0 2	37.2	570
2 0 -4	37.4	559
2 2 -1	39.0	1000
0 2 3	43.6	716
4 0 -2	45.7	313
4 2 1	64.9	209
4 2 -5	65.2	205
2 2 5	74.7	135